# 1
Calculated powder diffractogram
Compound: Ac5Pr6
Radiation: Cu Kα, 1.54184 Å
Structure: a GGA-PBE-relaxed structure

Cell and atoms:
```
Ac5Pr6
1.0
6.2532 -5.6450 0.0000
6.2532 5.6450 0.0000
-1.0359 0.0000 6.5620
Ac Pr
5 6
Direct
0.0000 0.0000 0.0000 Ac
0.1722 0.8278 0.5000 Ac
0.3361 0.6639 0.0000 Ac
0.6639 0.3361 0.0000 Ac
0.8278 0.1722 0.5000 Ac
0.0795 0.4128 0.2378 Pr
0.2499 0.2499 0.7399 Pr
0.4128 0.0795 0.2378 Pr
0.5872 0.9205 0.7622 Pr
0.7501 0.7501 0.2601 Pr
0.9205 0.5872 0.7622 Pr
```

Top 10 peaks for 10 to 90 degrees two-theta, sorted by position:
d/Å	intensity
3.100	100
3.088	33
2.727	24
2.661	45
1.908	17
1.900	17
1.881	16
1.637	10
1.610	20
1.606	20

***

# 2
Calculated powder diffractogram
Compound: Ac2Pr7
Radiation: Cu Kα, 1.54184 Å
Structure: a GGA-PBE-relaxed structure

Cell and atoms:
```
Ac2Pr7
1.0
6.5611 0.0000 0.0000
-3.2805 5.6821 0.0000
0.0000 0.0000 9.1874
Ac Pr
2 7
Direct
0.3333 0.6667 0.0000 Ac
0.6667 0.3333 0.0000 Ac
0.0000 0.0000 0.0000 Pr
0.0000 0.3308 0.6626 Pr
0.0000 0.6692 0.3374 Pr
0.3308 0.0000 0.6626 Pr
0.3308 0.3308 0.3374 Pr
0.6692 0.0000 0.3374 Pr
0.6692 0.6692 0.6626 Pr
```

Top 10 peaks for 10 to 90 degrees two-theta, sorted by position:
d/Å	intensity
3.089	100
3.062	32
2.670	67
1.894	25
1.882	25
1.615	15
1.611	29
1.603	14
1.545	13
1.229	12

***

# 3
Calculated powder diffractogram
Compound: AcPr11
Radiation: Cu Kα, 1.54184 Å
Structure: a GGA-PBE-relaxed structure

Cell and atoms:
```
AcPr11
1.0
11.8047 0.0000 0.0000
-5.9024 10.2232 0.0000
0.0000 0.0000 3.6729
Ac Pr
1 11
Direct
0.0000 0.0000 0.0000 Ac
0.0000 0.5000 0.0000 Pr
0.1756 0.3512 0.5000 Pr
0.1756 0.8244 0.5000 Pr
0.3333 0.6667 0.0000 Pr
0.3512 0.1756 0.5000 Pr
0.5000 0.0000 0.0000 Pr
0.5000 0.5000 0.0000 Pr
0.6488 0.8244 0.5000 Pr
0.6667 0.3333 0.0000 Pr
0.8244 0.1756 0.5000 Pr
0.8244 0.6488 0.5000 Pr
```

Top 10 peaks for 10 to 90 degrees two-theta, sorted by position:
d/Å	intensity
3.118	31
2.983	57
2.951	100
2.498	18
2.098	21
1.907	15
1.710	21
1.704	19
1.559	30
1.249	14

***

# 4
Calculated powder diffractogram
Compound: Ac5PrPt3
Radiation: Cu Kα, 1.54184 Å
Structure: a GGA-PBE-relaxed structure

Cell and atoms:
```
Ac5PrPt3
1.0
7.2200 0.0000 0.0000
0.0000 4.4679 0.0000
-0.3927 0.0000 21.5839
Ac Pr Pt
10 2 6
Direct
0.1792 0.0000 0.4264 Ac
0.1924 0.0000 0.7639 Ac
0.2211 0.0000 0.1067 Ac
0.2830 0.5000 0.9362 Ac
0.3191 0.5000 0.5968 Ac
0.6809 0.5000 0.4032 Ac
0.7170 0.5000 0.0638 Ac
0.7789 0.0000 0.8933 Ac
0.8076 0.0000 0.2361 Ac
0.8208 0.0000 0.5736 Ac
0.3086 0.5000 0.2671 Pr
0.6914 0.5000 0.7329 Pr
0.0000 0.5000 0.5000 Pt
0.0110 0.5000 0.1697 Pt
0.4915 0.0000 0.3313 Pt
0.5000 0.0000 0.0000 Pt
0.5085 0.0000 0.6687 Pt
0.9890 0.5000 0.8303 Pt
```

Top 10 peaks for 10 to 90 degrees two-theta, sorted by position:
d/Å	intensity
5.143	42
5.050	60
3.373	100
3.346	98
3.247	37
2.626	72
2.601	60
2.234	47
2.119	56
2.113	53

***

# 5
Calculated powder diffractogram
Compound: AcPr3Pt8
Radiation: Cu Kα, 1.54184 Å
Structure: a GGA-PBE-relaxed structure

Cell and atoms:
```
AcPr3Pt8
1.0
5.5695 0.0000 0.0000
-2.7847 4.8233 0.0000
0.0000 0.0000 9.1791
Ac Pr Pt
1 3 8
Direct
0.0000 0.0000 0.0000 Ac
0.0000 0.0000 0.3735 Pr
0.6667 0.3333 0.4960 Pr
0.6667 0.3333 0.8628 Pr
0.1659 0.3318 0.6811 Pt
0.1659 0.8341 0.6811 Pt
0.3333 0.6667 0.4336 Pt
0.3333 0.6667 0.9336 Pt
0.5014 0.0029 0.1869 Pt
0.5014 0.4986 0.1869 Pt
0.6682 0.8341 0.6811 Pt
0.9971 0.4986 0.1869 Pt
```

Top 10 peaks for 10 to 90 degrees two-theta, sorted by position:
d/Å	intensity
2.785	22
2.584	64
2.381	100
2.332	96
2.295	23
2.135	27
1.566	27
1.517	25
1.461	34
1.392	31

***

# 6
Calculated powder diffractogram
Compound: Ac8PrPt5
Radiation: Cu Kα, 1.54184 Å
Structure: a GGA-PBE-relaxed structure

Cell and atoms:
```
Ac8PrPt5
1.0
11.2556 -2.2015 0.0000
11.2556 2.2015 0.0000
-2.4467 0.0000 10.4466
Ac Pr Pt
8 1 5
Direct
0.0723 0.0723 0.1615 Ac
0.2655 0.2655 0.8458 Ac
0.3304 0.3304 0.5032 Ac
0.4126 0.4126 0.1798 Ac
0.5874 0.5874 0.8202 Ac
0.6696 0.6696 0.4968 Ac
0.7345 0.7345 0.1542 Ac
0.9277 0.9277 0.8385 Ac
0.0000 0.0000 0.5000 Pr
0.1609 0.1609 0.9810 Pt
0.2025 0.2025 0.3327 Pt
0.5000 0.5000 0.0000 Pt
0.7975 0.7975 0.6673 Pt
0.8391 0.8391 0.0190 Pt
```

Top 10 peaks for 10 to 90 degrees two-theta, sorted by position:
d/Å	intensity
3.421	100
3.377	49
3.244	52
3.227	27
2.900	32
2.721	67
2.420	36
2.201	39
2.175	73
1.926	29

***

# 7
Calculated powder diffractogram
Compound: AcPrRuPt
Radiation: Cu Kα, 1.54184 Å
Structure: a GGA-PBE-relaxed structure

Cell and atoms:
```
AcPrRuPt
1.0
0.0000 3.6634 3.6634
3.6634 0.0000 3.6634
3.6634 3.6634 0.0000
Ac Pr Ru Pt
1 1 1 1
Direct
0.0000 0.0000 0.0000 Ac
0.5000 0.5000 0.5000 Pr
0.7500 0.7500 0.7500 Ru
0.2500 0.2500 0.2500 Pt
```

Top 10 peaks for 10 to 90 degrees two-theta, sorted by position:
d/Å	intensity
4.230	7
2.590	100
2.209	4
1.832	18
1.681	2
1.496	38
1.410	1
1.295	12
1.238	1
1.158	17

***

# 8
Calculated powder diffractogram
Compound: Ac2PrSi3Pt4
Radiation: Cu Kα, 1.54184 Å
Structure: a GGA-PBE-relaxed structure

Cell and atoms:
```
Ac2PrSi3Pt4
1.0
4.3998 0.0000 0.0000
0.0000 4.3998 0.0000
0.0000 0.0000 11.2317
Ac Pr Si Pt
2 1 3 4
Direct
0.0000 0.5000 0.2276 Ac
0.5000 0.0000 0.7724 Ac
0.0000 0.0000 0.5000 Pr
0.0000 0.5000 0.8910 Si
0.5000 0.0000 0.1090 Si
0.5000 0.5000 0.5000 Si
0.0000 0.0000 0.0000 Pt
0.0000 0.5000 0.6745 Pt
0.5000 0.0000 0.3255 Pt
0.5000 0.5000 0.0000 Pt
```

Top 10 peaks for 10 to 90 degrees two-theta, sorted by position:
d/Å	intensity
3.463	20
2.851	14
2.808	11
2.721	100
2.367	19
2.200	40
2.001	12
1.611	12
1.556	14
1.351	24

***

# 9
Calculated powder diffractogram
Compound: AcPrPu
Radiation: Cu Kα, 1.54184 Å
Structure: a GGA-PBE-relaxed structure

Cell and atoms:
```
AcPrPu
1.0
-1.8653 1.8653 7.7860
1.8653 -1.8653 7.7860
1.8653 1.8653 -7.7860
Ac Pr Pu
1 1 1
Direct
0.0000 0.0000 0.0000 Ac
0.3220 0.3220 0.0000 Pr
0.6667 0.6667 0.0000 Pu
```

Top 10 peaks for 10 to 90 degrees two-theta, sorted by position:
d/Å	intensity
3.029	100
2.638	35
2.595	16
1.865	13
1.850	24
1.588	31
1.570	14
1.515	13
1.209	6
1.201	12

***

# 10
Calculated powder diffractogram
Compound: Rb4Ac3PrSe8
Radiation: Cu Kα, 1.54184 Å
Structure: a GGA-PBE-relaxed structure

Cell and atoms:
```
Rb4Ac3PrSe8
1.0
4.5634 2.6347 8.0430
-4.5634 2.6347 8.0430
0.0000 -5.2694 8.0430
Rb Ac Pr Se
4 3 1 8
Direct
0.0000 0.0000 0.0000 Rb
0.0000 0.5000 0.5000 Rb
0.5000 0.0000 0.5000 Rb
0.5000 0.5000 0.0000 Rb
0.0000 0.0000 0.5000 Ac
0.0000 0.5000 0.0000 Ac
0.5000 0.0000 0.0000 Ac
0.5000 0.5000 0.5000 Pr
0.2363 0.2363 0.2363 Se
0.2433 0.7308 0.7308 Se
0.2692 0.2692 0.7567 Se
0.2692 0.7567 0.2692 Se
0.7308 0.2433 0.7308 Se
0.7308 0.7308 0.2433 Se
0.7567 0.2692 0.2692 Se
0.7637 0.7637 0.7637 Se
```

Top 10 peaks for 10 to 90 degrees two-theta, sorted by position:
d/Å	intensity
8.043	32
3.756	12
3.306	100
2.598	12
2.398	36
2.282	38
1.878	20
1.653	11
1.509	13
1.450	17

***

# 11
Calculated powder diffractogram
Compound: Ac5Pr2Rh5
Radiation: Cu Kα, 1.54184 Å
Structure: a GGA-PBE-relaxed structure

Cell and atoms:
```
Ac5Pr2Rh5
1.0
7.0085 -2.0984 0.0000
7.0085 2.0984 0.0000
-3.5011 0.0000 12.2133
Ac Pr Rh
5 2 5
Direct
0.0000 0.0000 0.0000 Ac
0.1547 0.1547 0.5496 Ac
0.2399 0.2399 0.8570 Ac
0.7601 0.7601 0.1430 Ac
0.8453 0.8453 0.4504 Ac
0.4605 0.4605 0.7143 Pr
0.5395 0.5395 0.2857 Pr
0.1898 0.1898 0.3084 Rh
0.3856 0.3856 0.0769 Rh
0.5000 0.5000 0.5000 Rh
0.6144 0.6144 0.9231 Rh
0.8102 0.8102 0.6916 Rh
```

Top 10 peaks for 10 to 90 degrees two-theta, sorted by position:
d/Å	intensity
3.231	15
3.121	100
3.066	16
2.975	33
2.850	18
2.706	18
2.531	18
2.108	18
2.098	22
1.742	27

***

# 12
Calculated powder diffractogram
Compound: AcPr3Rh3
Radiation: Cu Kα, 1.54184 Å
Structure: a GGA-PBE-relaxed structure

Cell and atoms:
```
AcPr3Rh3
1.0
11.8683 0.0000 0.0000
0.0000 11.8683 0.0000
0.0000 0.0000 5.7973
Ac Pr Rh
4 12 12
Direct
0.1258 0.1258 0.0000 Ac
0.3742 0.6258 0.5000 Ac
0.6258 0.3742 0.5000 Ac
0.8742 0.8742 0.0000 Ac
0.1144 0.6266 0.0000 Pr
0.1266 0.3856 0.5000 Pr
0.1323 0.8677 0.5000 Pr
0.3677 0.3677 0.0000 Pr
0.3734 0.8856 0.0000 Pr
0.3856 0.1266 0.5000 Pr
0.6144 0.8734 0.5000 Pr
0.6266 0.1144 0.0000 Pr
0.6323 0.6323 0.0000 Pr
0.8677 0.1323 0.5000 Pr
0.8734 0.6144 0.5000 Pr
0.8856 0.3734 0.0000 Pr
0.1215 0.8785 0.0000 Rh
0.1253 0.6290 0.5000 Rh
0.1290 0.3747 0.0000 Rh
0.3710 0.8747 0.5000 Rh
0.3747 0.1290 0.0000 Rh
0.3785 0.3785 0.5000 Rh
0.6215 0.6215 0.5000 Rh
0.6253 0.8710 0.0000 Rh
0.6290 0.1253 0.5000 Rh
0.8710 0.6253 0.0000 Rh
0.8747 0.3710 0.5000 Rh
0.8785 0.1215 0.0000 Rh
```

Top 10 peaks for 10 to 90 degrees two-theta, sorted by position:
d/Å	intensity
5.209	17
3.399	32
2.967	100
2.899	48
2.098	37
2.073	72
1.700	38
1.321	16
1.302	16
1.207	23

***

# 13
Calculated powder diffractogram
Compound: Ac5PrRh3
Radiation: Cu Kα, 1.54184 Å
Structure: a GGA-PBE-relaxed structure

Cell and atoms:
```
Ac5PrRh3
1.0
6.9644 0.0000 0.0000
0.0000 4.3731 0.0000
-0.4041 0.0000 21.2471
Ac Pr Rh
10 2 6
Direct
0.2190 0.0000 0.4381 Ac
0.2220 0.0000 0.7738 Ac
0.2448 0.0000 0.1132 Ac
0.2606 0.5000 0.9435 Ac
0.2804 0.5000 0.6088 Ac
0.7196 0.5000 0.3912 Ac
0.7394 0.5000 0.0565 Ac
0.7552 0.0000 0.8868 Ac
0.7780 0.0000 0.2262 Ac
0.7810 0.0000 0.5619 Ac
0.2689 0.5000 0.2761 Pr
0.7311 0.5000 0.7239 Pr
0.0000 0.5000 0.5000 Rh
0.0081 0.5000 0.1672 Rh
0.4924 0.0000 0.3308 Rh
0.5000 0.0000 0.0000 Rh
0.5076 0.0000 0.6692 Rh
0.9919 0.5000 0.8328 Rh
```

Top 10 peaks for 10 to 90 degrees two-theta, sorted by position:
d/Å	intensity
3.482	37
3.295	100
3.268	99
3.181	40
3.132	37
2.555	35
2.530	30
2.187	34
2.077	57
1.960	30